# Li3Cr4P2O8F9
Simulated powder X-ray diffraction pattern, Cu Kα (weighted mean of Kα1 and Kα2). Input: a crystal structure in the Materials Project, relaxed with PBE+U.

Top 8 peaks for 10° ≤ 2θ ≤ 90°, in order of falling intensity:
16.00 deg, intensity 100, (1 0 -1); 17.73 deg, intensity 84, (0 2 1); 12.32 deg, intensity 49, (0 2 0); 20.35 deg, intensity 36, (1 0 1); 29.28 deg, intensity 32, (2 2 -1); 32.31 deg, intensity 32, (2 0 -2); 27.94 deg, intensity 28, (0 4 1); 29.64 deg, intensity 26, (1 4 -1)

Structure:
a b c (Å): 6.9442 14.3712 7.1643
angles (deg): 90.00 103.55 90.00
Atoms (fractional coordinates):
Li1 0.0325 0.2500 0.0538
Li2 0.2154 0.5049 0.1760
Li3 0.2154 0.9951 0.1760
Li4 0.7846 0.0049 0.8240
Li5 0.7846 0.4951 0.8240
Li6 0.9675 0.7500 0.9462
Cr1 0.0371 0.7500 0.5668
Cr2 0.3101 0.1187 0.8128
Cr3 0.3101 0.3813 0.8128
Cr4 0.4748 0.2500 0.4318
Cr5 0.5252 0.7500 0.5682
Cr6 0.6899 0.6187 0.1872
Cr7 0.6899 0.8813 0.1872
Cr8 0.9629 0.2500 0.4332
P1 0.3326 0.6008 0.8139
P2 0.3326 0.8992 0.8139
P3 0.6674 0.1008 0.1861
P4 0.6674 0.3992 0.1861
O1 0.1390 0.6591 0.7748
O2 0.1390 0.8409 0.7748
O3 0.2833 0.5066 0.7112
O4 0.2833 0.9934 0.7112
O5 0.4073 0.5881 0.0358
O6 0.4073 0.9119 0.0358
O7 0.4992 0.6476 0.7393
O8 0.4992 0.8524 0.7393
O9 0.5008 0.1476 0.2607
O10 0.5008 0.3524 0.2607
O11 0.5927 0.0881 0.9642
O12 0.5927 0.4119 0.9642
O13 0.7167 0.0066 0.2888
O14 0.7167 0.4934 0.2888
O15 0.8610 0.1591 0.2252
O16 0.8610 0.3409 0.2252
F1 0.0619 0.1510 0.6222
F2 0.0619 0.3490 0.6222
F3 0.1356 0.0867 0.9849
F4 0.1356 0.4133 0.9849
F5 0.1909 0.2500 0.3161
F6 0.2510 0.7500 0.4398
F7 0.2971 0.2500 0.9074
F8 0.4485 0.1529 0.6159
F9 0.4485 0.3471 0.6159
F10 0.5515 0.6529 0.3841
F11 0.5515 0.8471 0.3841
F12 0.7029 0.7500 0.0926
F13 0.7490 0.2500 0.5602
F14 0.8091 0.7500 0.6839
F15 0.8644 0.5867 0.0151
F16 0.8644 0.9133 0.0151
F17 0.9381 0.6510 0.3778
F18 0.9381 0.8490 0.3778



# Mn12O7F17
Simulated powder X-ray diffraction pattern, Cu Kα (weighted mean of Kα1 and Kα2). Input: a crystal structure in the Materials Project, relaxed with PBE+U.

Top 8 peaks for 10° ≤ 2θ ≤ 90°, in order of falling intensity:
28.06 deg, intensity 100, (1 -1 3); 28.95 deg, intensity 82, (1 1 -3); 29.91 deg, intensity 78, (-1 1 3); 30.93 deg, intensity 66, (1 1 3); 49.81 deg, intensity 32, (2 0 6); 49.56 deg, intensity 30, (2 0 -6); 33.56 deg, intensity 22, (2 0 0); 47.03 deg, intensity 22, (0 2 -6)

Structure:
a b c (Å): 5.3472 5.3990 15.2223
angles (deg): 95.37 90.00 92.82
Atoms (fractional coordinates):
Mn1 0.0000 0.0000 0.0000
Mn2 0.9997 0.4351 0.8219
Mn3 0.0104 0.0216 0.3112
Mn4 0.0101 0.4643 0.1599
Mn5 0.4604 0.0781 0.8130
Mn6 0.4968 0.6455 0.9939
Mn7 0.5038 0.5830 0.3337
Mn8 0.5065 0.5989 0.6560
Mn9 0.5234 0.1376 0.1456
Mn10 0.6138 0.0417 0.4891
Mn11 0.9383 0.9977 0.6585
Mn12 0.9772 0.5952 0.4832
O1 0.1405 0.1771 0.7493
O2 0.2051 0.2210 0.0893
O3 0.6743 0.8704 0.7297
O4 0.6741 0.9311 0.0549
O5 0.7282 0.7827 0.5677
O6 0.7954 0.8355 0.4042
O7 0.8325 0.2051 0.2138
F1 0.1468 0.3589 0.3960
F2 0.1672 0.7014 0.0734
F3 0.2057 0.7668 0.5941
F4 0.2100 0.6684 0.7590
F5 0.2412 0.7296 0.2495
F6 0.3024 0.8456 0.4254
F7 0.3147 0.9055 0.9246
F8 0.3308 0.3919 0.9048
F9 0.3545 0.2422 0.2546
F10 0.4466 0.2734 0.5770
F11 0.6575 0.3232 0.4147
F12 0.6668 0.3757 0.7459
F13 0.6942 0.4268 0.0665
F14 0.7664 0.6886 0.2271
F15 0.8239 0.1817 0.8934
F16 0.8459 0.6801 0.9088
F17 0.9362 0.2611 0.5659



# Mn9Al2Si8H8O32
Simulated powder X-ray diffraction pattern, Cu Kα (weighted mean of Kα1 and Kα2). Input: a crystal structure in the Materials Project, relaxed with PBE+U.

Top 8 peaks for 10° ≤ 2θ ≤ 90°, in order of falling intensity:
32.74 deg, intensity 100, (2 2 -1); 18.75 deg, intensity 78, (1 0 -2); 26.58 deg, intensity 70, (0 1 -3); 40.23 deg, intensity 46, (1 -1 4); 28.69 deg, intensity 43, (-2 1 2); 44.09 deg, intensity 41, (3 2 -3); 40.01 deg, intensity 38, (-2 3 1); 33.64 deg, intensity 37, (1 -3 0)

Structure:
a b c (Å): 7.7384 8.4443 10.5013
angles (deg): 103.90 104.51 94.05
Atoms (fractional coordinates):
Mn1 0.0000 0.0000 0.0000
Mn2 0.1229 0.1639 0.5573
Mn3 0.1392 0.3905 0.0699
Mn4 0.4200 0.1628 0.2015
Mn5 0.4487 0.4310 0.7274
Mn6 0.5513 0.5690 0.2726
Mn7 0.5800 0.8372 0.7985
Mn8 0.8608 0.6095 0.9301
Mn9 0.8771 0.8361 0.4427
Al1 0.2677 0.7798 0.1316
Al2 0.7323 0.2202 0.8684
Si1 0.1789 0.7445 0.7995
Si2 0.2063 0.4313 0.3968
Si3 0.3003 0.8098 0.4512
Si4 0.3141 0.1152 0.8580
Si5 0.6859 0.8848 0.1420
Si6 0.6997 0.1902 0.5488
Si7 0.7937 0.5687 0.6032
Si8 0.8211 0.2555 0.2005
H1 0.0189 0.3277 0.8063
H2 0.1374 0.9863 0.2697
H3 0.3897 0.5764 0.9903
H4 0.4995 0.0147 0.6246
H5 0.5005 0.9853 0.3754
H6 0.6103 0.4236 0.0097
H7 0.8626 0.0137 0.7303
H8 0.9811 0.6723 0.1937
O1 0.0096 0.6330 0.6758
O2 0.0558 0.6371 0.1320
O3 0.1204 0.7674 0.9436
O4 0.1380 0.9251 0.4409
O5 0.1774 0.9817 0.1874
O6 0.1996 0.9286 0.7710
O7 0.2238 0.6311 0.4626
O8 0.2479 0.1662 0.9986
O9 0.2566 0.2432 0.7641
O10 0.2747 0.3472 0.5208
O11 0.3134 0.3946 0.2780
O12 0.3558 0.5771 0.0743
O13 0.3631 0.6632 0.8046
O14 0.3859 0.7900 0.3210
O15 0.4621 0.8921 0.5960
O16 0.4714 0.9052 0.1159
O17 0.5286 0.0948 0.8841
O18 0.5379 0.1079 0.4040
O19 0.6141 0.2100 0.6790
O20 0.6369 0.3368 0.1954
O21 0.6442 0.4229 0.9257
O22 0.6866 0.6054 0.7220
O23 0.7253 0.6528 0.4792
O24 0.7434 0.7568 0.2359
O25 0.7521 0.8338 0.0014
O26 0.7762 0.3689 0.5374
O27 0.8004 0.0714 0.2290
O28 0.8226 0.0183 0.8126
O29 0.8620 0.0749 0.5591
O30 0.8796 0.2326 0.0564
O31 0.9442 0.3629 0.8680
O32 0.9904 0.3670 0.3242



# Li7Mn5O12
Simulated powder X-ray diffraction pattern, Cu Kα (weighted mean of Kα1 and Kα2). Input: a crystal structure in the Materials Project, relaxed with PBE+U.

Top 8 peaks for 10° ≤ 2θ ≤ 90°, in order of falling intensity:
18.27 deg, intensity 100, (1 0 1); 42.64 deg, intensity 65, (2 1 -1); 35.36 deg, intensity 29, (1 1 -2); 44.62 deg, intensity 27, (0 0 6); 63.23 deg, intensity 16, (2 1 5); 63.62 deg, intensity 15, (2 1 -7); 36.49 deg, intensity 10, (1 0 -5); 56.30 deg, intensity 9, (3 1 0)

Structure:
a b c (Å): 6.0233 2.9855 12.5287
angles (deg): 90.00 103.46 90.00
Atoms (fractional coordinates):
Li1 0.0000 0.0000 0.0000
Li2 0.0000 0.5000 0.5000
Li3 0.1630 0.0000 0.3332
Li4 0.3194 0.5000 0.1554
Li5 0.5000 0.0000 0.0000
Li6 0.6806 0.5000 0.8446
Li7 0.8370 0.0000 0.6668
Mn1 0.1604 0.5000 0.8404
Mn2 0.3262 0.0000 0.6669
Mn3 0.5000 0.5000 0.5000
Mn4 0.6738 0.0000 0.3331
Mn5 0.8396 0.5000 0.1596
O1 0.0524 0.0000 0.1656
O2 0.0922 0.5000 0.6755
O3 0.2488 0.5000 0.9896
O4 0.2578 0.0000 0.5091
O5 0.3851 0.0000 0.8269
O6 0.4265 0.5000 0.3403
O7 0.5735 0.5000 0.6597
O8 0.6149 0.0000 0.1731
O9 0.7422 0.0000 0.4909
O10 0.7512 0.5000 0.0104
O11 0.9078 0.5000 0.3245
O12 0.9476 0.0000 0.8344